Er2FeSbO7: simulated XRD peak list (a wavelength of 1.5418 Å), based on a cell relaxed with PBE+U.

Cell and atoms:
Cell lengths 7.155, 7.283, 10.147 Å; angles 90.00, 90.00, 90.00 degrees
Space group Imma (No. 74)
Unique sites:
Er1 0.000 0.000 0.000 (multiplicity 4)
Er2 0.250 0.250 0.250 (multiplicity 4)
Fe1 0.250 0.250 0.750 (multiplicity 4)
Sb1 0.000 0.000 0.500 (multiplicity 4)
O1 0.000 0.250 0.126 (multiplicity 4)
O2 0.000 0.250 0.414 (multiplicity 4)
O3 0.000 0.250 0.834 (multiplicity 4)
O4 0.209 0.039 0.626 (multiplicity 16)

Largest 10 diffraction maxima, by angle, 10° ≤ 2θ ≤ 90°:
index  2theta  d (Å)  I_rel
0 1 1  14.97  5.917  19
0 2 2  30.21  2.958  100
2 0 2  30.58  2.924  97
2 2 0  35.17  2.552  43
0 0 4  35.38  2.537  21
0 4 0  50.10  1.821  16
2 2 4  50.74  1.799  61
4 0 0  51.06  1.789  15
2 4 2  59.84  1.546  29
4 2 2  60.51  1.530  41



YErFe2O6: simulated XRD peak list (a wavelength of 1.5418 Å), based on a cell relaxed with PBE+U.

Cell and atoms:
Cell lengths 7.708, 5.323, 5.636 Å; angles 90.00, 90.00, 90.00 degrees
Space group Pmc2_1 (No. 26)
Unique sites:
Y1 0.000 0.230 0.000 (multiplicity 2)
Er1 0.500 0.269 0.862 (multiplicity 2)
Fe1 0.251 0.250 0.431 (multiplicity 4)
O1 0.000 0.366 0.388 (multiplicity 2)
O2 0.191 0.059 0.737 (multiplicity 4)
O3 0.313 0.441 0.125 (multiplicity 4)
O4 0.500 0.128 0.479 (multiplicity 2)

Largest 10 diffraction maxima, by angle, 10° ≤ 2θ ≤ 90°:
index  2theta  d (Å)  I_rel
1 0 0  11.48  7.708  15
2 0 0  23.02  3.863  20
1 1 1  25.76  3.458  28
0 0 2  31.75  2.818  19
2 1 1  32.80  2.731  100
0 2 0  33.68  2.661  23
0 2 2  46.96  1.935  18
4 0 0  47.16  1.927  14
1 1 3  53.03  1.727  19
2 3 1  59.67  1.550  22